Simulated X-ray powder pattern of KLaEuSbO6 for Cu Kα (weighted mean of Kα1 and Kα2), from a PBE-relaxed structure.

Peak list (6 most intense, 2θ from 10° to 90°, by angle)
29.2°, I = 43, (0 2 0)
29.7°, I = 100, (1 1 1)
29.9°, I = 98, (1 1 -3)
30.2°, I = 47, (2 0 -2)
42.5°, I = 44, (2 2 -2)
53.6°, I = 32, (3 1 -5)

Unit cell a=5.910 b=6.127 c=10.263 alpha=90.00 beta=124.51 gamma=90.00
Space group Pc (No. 7)
Inequivalent atoms, fractional coordinates:
K 0.000 0.229 0.000 [2 per cell]
La 0.256 0.227 0.749 [2 per cell]
Eu 0.529 0.316 0.499 [2 per cell]
Sb 0.759 0.250 0.252 [2 per cell]
O 0.111 0.225 0.473 [2 per cell]
O 0.460 0.303 0.021 [2 per cell]
O 0.537 0.081 0.312 [2 per cell]
O 0.596 0.497 0.803 [2 per cell]
O 0.851 0.031 0.688 [2 per cell]
O 0.966 0.471 0.210 [2 per cell]

=====

Simulated X-ray powder pattern of LaErH for Cu Kα (weighted mean of Kα1 and Kα2), from a PBE-relaxed structure.

Peak list (6 most intense, 2θ from 10° to 90°, by angle)
26.7°, I = 86, (1 0 1)
29.1°, I = 35, (0 0 4)
33.8°, I = 100, (1 0 3)
36.6°, I = 49, (1 1 0)
47.4°, I = 37, (1 1 4)
64.1°, I = 32, (2 1 3)

Unit cell a=3.472 b=3.472 c=12.294 alpha=90.00 beta=90.00 gamma=90.00
Space group I4mm (No. 107)
Inequivalent atoms, fractional coordinates:
La 0.000 0.000 0.000 [2 per cell]
Er 0.000 0.000 0.289 [2 per cell]
H 0.000 0.000 0.468 [2 per cell]

=====

Simulated X-ray powder pattern of YBeGa2Rh2 for Cu Kα (weighted mean of Kα1 and Kα2), from a PBE-relaxed structure.

Peak list (6 most intense, 2θ from 10° to 90°, by angle)
34.1°, I = 100, (1 1 1)
38.8°, I = 40, (1 0 2)
42.8°, I = 54, (2 0 0)
44.5°, I = 31, (1 1 2)
59.1°, I = 22, (2 1 2)
72.8°, I = 21, (3 1 1)

Unit cell a=4.226 b=4.226 c=5.557 alpha=90.00 beta=90.00 gamma=90.00
Space group P4/mmm (No. 123)
Inequivalent atoms, fractional coordinates:
Y 0.000 0.000 0.000 [1 per cell]
Be 0.000 0.000 0.500 [1 per cell]
Ga 0.500 0.500 0.228 [2 per cell]
Rh 0.000 0.500 0.500 [2 per cell]

=====

Simulated X-ray powder pattern of CeAgTeS for Cu Kα (weighted mean of Kα1 and Kα2), from a PBE-relaxed structure.

Peak list (6 most intense, 2θ from 10° to 90°, by angle)
24.3°, I = 100, (1 0 4)
33.9°, I = 78, (1 0 10)
38.7°, I = 94, (1 1 0)
42.6°, I = 29, (0 1 14)
50.2°, I = 25, (1 1 12)
52.4°, I = 22, (0 2 10)

Unit cell a=4.6554 b=4.6554 c=34.9431 alpha=90.00 beta=90.00 gamma=120.00
Space group R-3m (No. 166, hexagonal axes)
Inequivalent atoms, fractional coordinates:
Ce 0.0000 0.0000 0.1157 [6 per cell]
Ag 0.0000 0.0000 0.3075 [6 per cell]
Te 0.0000 0.0000 0.3902 [6 per cell]
S 0.0000 0.0000 0.1967 [6 per cell]